1.
Calculated powder diffractogram of Fe3TeP3 for a wavelength of 1.5418 Å, from a DFT-relaxed cell (GGA-PBE, Alexandria).
Kinematic intensities with the Lorentz-polarization factor, no thermal factor.

Peak list (10 most intense, 15° ≤ 2θ ≤ 90°, by angle)
d (Å)	I/Imax
5.118	1000
3.502	583
3.340	602
3.315	379
3.259	541
2.782	501
2.040	632
2.022	635
1.945	524
1.897	476

Structural model:
Cell lengths 8.2168, 3.8893, 8.3585 Å; angles 90.00, 103.72, 90.00 degrees
Fractional positions:
Fe 0.0720 0.2500 0.1867
Fe 0.1139 0.2500 0.8862
Fe 0.1914 0.7500 0.0685
Fe 0.8086 0.2500 0.9315
Fe 0.8861 0.7500 0.1138
Fe 0.9280 0.7500 0.8133
Te 0.3986 0.7500 0.6010
Te 0.6014 0.2500 0.3990
P 0.1326 0.7500 0.3156
P 0.1978 0.7500 0.8028
P 0.3231 0.2500 0.1289
P 0.6769 0.7500 0.8711
P 0.8022 0.2500 0.1972
P 0.8674 0.2500 0.6844

***

2.
Calculated powder diffractogram of Ir2PtRh4 for a wavelength of 1.5418 Å, from a DFT-relaxed cell (GGA-PBE, Alexandria).
Kinematic intensities with the Lorentz-polarization factor, no thermal factor.

Peak list (10 most intense, 15° ≤ 2θ ≤ 90°, by angle)
d (Å)	I/Imax
2.858	422
2.305	1000
2.259	996
2.130	278
2.054	581
1.955	285
1.614	439
1.313	300
1.153	317
1.135	356

Structural model:
Cell lengths 6.3902, 6.3902, 2.6807 Å; angles 90.00, 90.00, 90.00 degrees
Fractional positions:
Ir 0.0000 0.5000 0.0000
Ir 0.5000 0.0000 0.0000
Pt 0.0000 0.0000 0.5000
Rh 0.2942 0.2942 0.5000
Rh 0.2942 0.7058 0.5000
Rh 0.7058 0.2942 0.5000
Rh 0.7058 0.7058 0.5000